# Li2Si2Ni2O7
Computed X-ray powder pattern, Cu Kα (λ = 1.5418 Å). Input: a crystal structure in the Materials Project, relaxed with PBE+U.

Peak list (10 most intense, 10° ≤ 2θ ≤ 90°, in order of falling intensity)
hkl 4 1 1, 2θ 34.5, 2.603 Å, I 100
hkl 0 1 1, 2θ 20.5, 4.332 Å, I 62
hkl 0 3 1, 2θ 36.9, 2.434 Å, I 47
hkl 4 2 2, 2θ 50.6, 1.804 Å, I 37
hkl 1 1 1, 2θ 21.6, 4.111 Å, I 35
hkl 0 2 0, 2θ 21.4, 4.161 Å, I 32
hkl 0 3 3, 2θ 64.6, 1.443 Å, I 31
hkl 0 0 2, 2θ 35.4, 2.537 Å, I 26
hkl 4 4 0, 2θ 52.2, 1.753 Å, I 18
hkl 1 2 0, 2θ 22.4, 3.964 Å, I 17

Atomic structure:
```
data_Li2Si2Ni2O7
_chemical_formula_sum 'Li8 Si8 Ni8 O28'
_symmetry_space_group_name_H-M 'A m a 2'
_symmetry_Int_Tables_number 40
_cell_length_a 13.0265
_cell_length_b 8.3216
_cell_length_c 5.0737
_cell_angle_alpha 90.00
_cell_angle_beta 90.00
_cell_angle_gamma 90.00
loop_
_symmetry_equiv_pos_as_xyz
'x,y,z'
'-x,-y,z'
'-x+1/2,y,z'
'x+1/2,-y,z'
'x,y+1/2,z+1/2'
'-x,-y+1/2,z+1/2'
'-x+1/2,y+1/2,z+1/2'
'x+1/2,-y+1/2,z+1/2'
loop_
_atom_site_label
_atom_site_type_symbol
_atom_site_fract_x
_atom_site_fract_y
_atom_site_fract_z
_atom_site_occupancy
Li1 Li 0.0856 0.2022 0.0000 1
Si1 Si 0.1362 0.3521 0.5025 1
Ni1 Ni 0.0000 0.0000 0.4912 1
Ni2 Ni 0.2500 0.0052 0.4728 1
O1 O 0.0510 0.2240 0.5944 1
O2 O 0.1304 0.0102 0.1967 1
O3 O 0.1352 0.4063 0.1926 1
O4 O 0.2500 0.2574 0.5608 1
```


# Li3SiNiO5
Computed X-ray powder pattern, Cu Kα (λ = 1.5418 Å). Input: a crystal structure in the Materials Project, relaxed with PBE+U.

Peak list (10 most intense, 10° ≤ 2θ ≤ 90°, in order of falling intensity)
hkl 0 1 -1, 2θ 18.7, 4.737 Å, I 100
hkl 1 2 0, 2θ 45.6, 1.989 Å, I 57
hkl 2 -2 1, 2θ 43.7, 2.073 Å, I 31
hkl 0 0 1, 2θ 14.8, 5.971 Å, I 25
hkl 1 1 1, 2θ 37.8, 2.381 Å, I 18
hkl 0 1 0, 2θ 17.1, 5.194 Å, I 18
hkl 3 0 1, 2θ 65.2, 1.430 Å, I 15
hkl 2 -1 0, 2θ 36.2, 2.480 Å, I 11
hkl 1 -2 4, 2θ 64.7, 1.441 Å, I 8
hkl 1 -4 1, 2θ 64.8, 1.439 Å, I 8

Atomic structure:
```
data_Li3SiNiO5
_chemical_formula_sum 'Li6 Si2 Ni2 O10'
_symmetry_space_group_name_H-M 'P -1'
_symmetry_Int_Tables_number 2
_cell_length_a 5.0165
_cell_length_b 5.7648
_cell_length_c 6.3400
_cell_angle_alpha 105.41
_cell_angle_beta 96.49
_cell_angle_gamma 108.11
loop_
_symmetry_equiv_pos_as_xyz
'x,y,z'
'-x,-y,-z'
loop_
_atom_site_label
_atom_site_type_symbol
_atom_site_fract_x
_atom_site_fract_y
_atom_site_fract_z
_atom_site_occupancy
Li1 Li 0.0000 0.0000 0.0000 1
Li2 Li 0.0000 0.5000 0.0000 1
Li3 Li 0.1941 0.3955 0.3952 1
Li4 Li 0.3953 0.7992 0.8006 1
Si1 Si 0.4014 0.3026 0.8021 1
Ni1 Ni 0.2003 0.8991 0.4009 1
O1 O 0.1222 0.4174 0.7069 1
O2 O 0.1278 0.9801 0.7040 1
O3 O 0.3303 0.8330 0.1267 1
O4 O 0.3406 0.3680 0.0863 1
O5 O 0.4839 0.2461 0.5264 1
```


# Li2SiNiO4
Computed X-ray powder pattern, Cu Kα (λ = 1.5418 Å). Input: a crystal structure in the Materials Project, relaxed with PBE+U.

Peak list (10 most intense, 10° ≤ 2θ ≤ 90°, in order of falling intensity)
hkl 0 1 1, 2θ 22.9, 3.880 Å, I 100
hkl 2 1 0, 2θ 21.7, 4.104 Å, I 87
hkl 2 2 0, 2θ 33.1, 2.703 Å, I 76
hkl 0 0 2, 2θ 36.2, 2.481 Å, I 69
hkl 2 2 1, 2θ 37.9, 2.374 Å, I 54
hkl 1 1 1, 2θ 24.3, 3.656 Å, I 44
hkl 6 2 0, 2θ 58.8, 1.571 Å, I 42
hkl 4 0 0, 2θ 32.8, 2.731 Å, I 37
hkl 2 2 3, 2θ 66.2, 1.411 Å, I 33
hkl 2 1 1, 2θ 28.2, 3.163 Å, I 32

Atomic structure:
```
data_Li2SiNiO4
_chemical_formula_sum 'Li8 Si4 Ni4 O16'
_symmetry_space_group_name_H-M 'P n a 21'
_symmetry_Int_Tables_number 33
_cell_length_a 10.9224
_cell_length_b 6.2217
_cell_length_c 4.9624
_cell_angle_alpha 90.00
_cell_angle_beta 90.00
_cell_angle_gamma 90.00
loop_
_symmetry_equiv_pos_as_xyz
'x,y,z'
'-x,-y,z+1/2'
'-x+1/2,y+1/2,z+1/2'
'x+1/2,-y+1/2,z'
loop_
_atom_site_label
_atom_site_type_symbol
_atom_site_fract_x
_atom_site_fract_y
_atom_site_fract_z
_atom_site_occupancy
Li1 Li 0.0881 0.2431 0.0000 1
Li2 Li 0.1748 0.4981 0.4998 1
Si1 Si 0.1646 0.9976 0.5084 1
Ni1 Ni 0.0820 0.7438 0.9975 1
O1 O 0.0930 0.2177 0.4054 1
O2 O 0.0934 0.7777 0.3994 1
O3 O 0.1639 0.9939 0.8412 1
O4 O 0.1916 0.5013 0.9034 1
```


# Li2SiNiO4
Computed X-ray powder pattern, Cu Kα (λ = 1.5418 Å). Input: a crystal structure in the Materials Project, relaxed with PBE+U.

Peak list (10 most intense, 10° ≤ 2θ ≤ 90°, in order of falling intensity)
hkl 1 0 0, 2θ 13.9, 6.359 Å, I 100
hkl 0 0 4, 2θ 33.0, 2.712 Å, I 60
hkl 1 1 -2, 2θ 27.8, 3.205 Å, I 60
hkl 0 2 0, 2θ 36.1, 2.488 Å, I 51
hkl 1 0 2, 2θ 21.8, 4.070 Å, I 41
hkl 2 0 -2, 2θ 32.2, 2.780 Å, I 23
hkl 1 1 0, 2θ 22.7, 3.919 Å, I 21
hkl 1 1 2, 2θ 28.3, 3.150 Å, I 20
hkl 0 2 4, 2θ 49.7, 1.833 Å, I 19
hkl 4 0 0, 2θ 58.0, 1.590 Å, I 19

Atomic structure:
```
data_Li2SiNiO4
_chemical_formula_sum 'Li8 Si4 Ni4 O16'
_symmetry_space_group_name_H-M 'P 1 21/c 1'
_symmetry_Int_Tables_number 14
_cell_length_a 6.3614
_cell_length_b 4.9765
_cell_length_c 10.8622
_cell_angle_alpha 90.00
_cell_angle_beta 91.70
_cell_angle_gamma 90.00
loop_
_symmetry_equiv_pos_as_xyz
'x,y,z'
'-x,-y,-z'
'-x,y+1/2,-z+1/2'
'x,-y+1/2,z+1/2'
loop_
_atom_site_label
_atom_site_type_symbol
_atom_site_fract_x
_atom_site_fract_y
_atom_site_fract_z
_atom_site_occupancy
Li1 Li 0.0067 0.1932 0.4148 1
Li2 Li 0.2372 0.6965 0.3283 1
Si1 Si 0.2378 0.1931 0.1664 1
Ni1 Ni 0.4946 0.7100 0.0899 1
O1 O 0.0263 0.2032 0.5966 1
O2 O 0.2496 0.6404 0.6648 1
O3 O 0.2534 0.2045 0.8119 1
O4 O 0.4537 0.1953 0.5942 1
```


# Li2SiNiO4
Computed X-ray powder pattern, Cu Kα (λ = 1.5418 Å). Input: a crystal structure in the Materials Project, relaxed with PBE+U.

Peak list (10 most intense, 10° ≤ 2θ ≤ 90°, in order of falling intensity)
hkl 1 1 -2, 2θ 24.3, 3.668 Å, I 100
hkl 0 2 2, 2θ 32.8, 2.734 Å, I 75
hkl 2 0 -2, 2θ 35.6, 2.524 Å, I 66
hkl 0 1 1, 2θ 16.2, 5.469 Å, I 62
hkl 0 3 1, 2θ 28.7, 3.113 Å, I 58
hkl 1 0 0, 2θ 22.2, 4.008 Å, I 45
hkl 0 6 2, 2θ 59.4, 1.557 Å, I 41
hkl 0 4 0, 2θ 33.5, 2.678 Å, I 39
hkl 0 2 1, 2θ 21.7, 4.096 Å, I 36
hkl 1 1 0, 2θ 23.7, 3.754 Å, I 32

Atomic structure:
```
data_Li2SiNiO4
_chemical_formula_sum 'Li8 Si4 Ni4 O16'
_symmetry_space_group_name_H-M 'P 1 21/c 1'
_symmetry_Int_Tables_number 14
_cell_length_a 5.0508
_cell_length_b 10.7101
_cell_length_c 8.0155
_cell_angle_alpha 90.00
_cell_angle_beta 127.49
_cell_angle_gamma 90.00
loop_
_symmetry_equiv_pos_as_xyz
'x,y,z'
'-x,-y,-z'
'-x,y+1/2,-z+1/2'
'x,-y+1/2,z+1/2'
loop_
_atom_site_label
_atom_site_type_symbol
_atom_site_fract_x
_atom_site_fract_y
_atom_site_fract_z
_atom_site_occupancy
Li1 Li 0.0364 0.0784 0.2406 1
Li2 Li 0.1866 0.1633 0.9945 1
Si1 Si 0.4351 0.0863 0.7456 1
Ni1 Ni 0.3064 0.6637 0.0002 1
O1 O 0.1099 0.0866 0.7474 1
O2 O 0.2523 0.6606 0.5443 1
O3 O 0.3256 0.1597 0.5295 1
O4 O 0.4457 0.0581 0.2464 1
```


# Li2SiNiO4
Computed X-ray powder pattern, Cu Kα (λ = 1.5418 Å). Input: a crystal structure in the Materials Project, relaxed with PBE+U.

Peak list (10 most intense, 10° ≤ 2θ ≤ 90°, in order of falling intensity)
hkl 1 -1 1, 2θ 21.8, 4.068 Å, I 100
hkl 0 2 1, 2θ 25.3, 3.522 Å, I 98
hkl 1 -1 2, 2θ 25.7, 3.471 Å, I 87
hkl 1 1 -2, 2θ 22.3, 3.987 Å, I 71
hkl 1 1 -3, 2θ 26.3, 3.390 Å, I 66
hkl 0 2 0, 2θ 21.6, 4.123 Å, I 66
hkl -1 1 3, 2θ 31.2, 2.863 Å, I 51
hkl 0 2 -4, 2θ 31.5, 2.840 Å, I 50
hkl 1 1 2, 2θ 30.8, 2.900 Å, I 44
hkl 2 0 -1, 2θ 36.1, 2.487 Å, I 40

Atomic structure:
```
data_Li2SiNiO4
_chemical_formula_sum 'Li12 Si6 Ni6 O24'
_symmetry_space_group_name_H-M 'P 1'
_symmetry_Int_Tables_number 1
_cell_length_a 4.9750
_cell_length_b 8.7525
_cell_length_c 12.3588
_cell_angle_alpha 109.11
_cell_angle_beta 100.28
_cell_angle_gamma 90.68
loop_
_symmetry_equiv_pos_as_xyz
'x,y,z'
loop_
_atom_site_label
_atom_site_type_symbol
_atom_site_fract_x
_atom_site_fract_y
_atom_site_fract_z
_atom_site_occupancy
Li1 Li 0.0000 0.0000 0.0000 1
Li2 Li 0.0165 0.2128 0.6603 1
Li3 Li 0.0683 0.4053 0.1470 1
Li4 Li 0.0942 0.6349 0.8204 1
Li5 Li 0.3284 0.7578 0.3169 1
Li6 Li 0.4307 0.1816 0.4961 1
Li7 Li 0.4995 0.5001 0.0002 1
Li8 Li 0.5175 0.7122 0.6604 1
Li9 Li 0.5687 0.9045 0.1472 1
Li10 Li 0.5947 0.1347 0.8201 1
Li11 Li 0.8277 0.2574 0.3168 1
Li12 Li 0.9320 0.6822 0.4963 1
Si1 Si 0.0708 0.9409 0.7418 1
Si2 Si 0.3889 0.4600 0.4067 1
Si3 Si 0.4971 0.2019 0.0738 1
Si4 Si 0.5699 0.4410 0.7418 1
Si5 Si 0.8896 0.9600 0.4071 1
Si6 Si 0.9965 0.7019 0.0739 1
Ni1 Ni 0.0247 0.3489 0.8970 1
Ni2 Ni 0.0349 0.4236 0.5580 1
Ni3 Ni 0.1988 0.0502 0.2576 1
Ni4 Ni 0.5249 0.8490 0.8967 1
Ni5 Ni 0.5353 0.9230 0.5580 1
Ni6 Ni 0.7001 0.5502 0.2588 1
O1 O 0.1173 0.8719 0.8528 1
O2 O 0.1348 0.5874 0.9661 1
O3 O 0.2278 0.9561 0.4355 1
O4 O 0.2373 0.2784 0.3814 1
O5 O 0.2421 0.8140 0.1798 1
O6 O 0.2749 0.5829 0.5191 1
O7 O 0.2845 0.3216 0.0291 1
O8 O 0.3184 0.5244 0.2942 1
O9 O 0.3255 0.0852 0.1237 1
O10 O 0.3364 0.3206 0.6343 1
O11 O 0.3696 0.9402 0.6993 1
O12 O 0.4696 0.6261 0.7801 1
O13 O 0.6173 0.3717 0.8527 1
O14 O 0.6351 0.0876 0.9658 1
O15 O 0.7275 0.4568 0.4347 1
O16 O 0.7372 0.7786 0.3821 1
O17 O 0.7426 0.3140 0.1798 1
O18 O 0.7748 0.0831 0.5191 1
O19 O 0.7845 0.8217 0.0290 1
O20 O 0.8197 0.0240 0.2944 1
O21 O 0.8239 0.5862 0.1243 1
O22 O 0.8372 0.8205 0.6344 1
O23 O 0.8683 0.4413 0.6991 1
O24 O 0.9721 0.1265 0.7798 1
```


# Li2Si2NiO6
Computed X-ray powder pattern, Cu Kα (λ = 1.5418 Å). Input: a crystal structure in the Materials Project, relaxed with PBE+U.

Peak list (10 most intense, 10° ≤ 2θ ≤ 90°, in order of falling intensity)
hkl 1 0 3, 2θ 22.1, 4.024 Å, I 100
hkl 2 0 0, 2θ 35.0, 2.563 Å, I 31
hkl 1 -2 1, 2θ 39.3, 2.295 Å, I 12
hkl 0 1 1, 2θ 17.9, 4.957 Å, I 11
hkl 1 1 2, 2θ 26.5, 3.367 Å, I 9
hkl 0 1 5, 2θ 28.8, 3.097 Å, I 8
hkl 1 0 -5, 2θ 28.7, 3.108 Å, I 8
hkl 1 1 -6, 2θ 37.2, 2.414 Å, I 8
hkl 1 1 6, 2θ 37.4, 2.402 Å, I 8
hkl 0 0 8, 2θ 37.0, 2.433 Å, I 7

Atomic structure:
```
data_Li2Si2NiO6
_chemical_formula_sum 'Li8 Si8 Ni4 O24'
_symmetry_space_group_name_H-M 'P 1'
_symmetry_Int_Tables_number 1
_cell_length_a 5.1251
_cell_length_b 5.1289
_cell_length_c 19.4850
_cell_angle_alpha 90.20
_cell_angle_beta 90.22
_cell_angle_gamma 91.15
loop_
_symmetry_equiv_pos_as_xyz
'x,y,z'
loop_
_atom_site_label
_atom_site_type_symbol
_atom_site_fract_x
_atom_site_fract_y
_atom_site_fract_z
_atom_site_occupancy
Li1 Li 0.0000 0.0000 0.0000 1
Li2 Li 0.0000 0.4991 0.9134 1
Li3 Li 0.0480 0.4536 0.2510 1
Li4 Li 0.0549 0.9524 0.6629 1
Li5 Li 0.5080 0.9981 0.4150 1
Li6 Li 0.5090 0.4978 0.4982 1
Li7 Li 0.5388 0.4569 0.1653 1
Li8 Li 0.5441 0.9567 0.7475 1
Si1 Si 0.0253 0.3341 0.4134 1
Si2 Si 0.0274 0.8349 0.5002 1
Si3 Si 0.3911 0.9727 0.2515 1
Si4 Si 0.3962 0.4719 0.6611 1
Si5 Si 0.5144 0.3575 0.9988 1
Si6 Si 0.5153 0.8559 0.9134 1
Si7 Si 0.8912 0.9722 0.1654 1
Si8 Si 0.8989 0.4713 0.7473 1
Ni1 Ni 0.0170 0.4782 0.0826 1
Ni2 Ni 0.0197 0.9758 0.8309 1
Ni3 Ni 0.5347 0.4832 0.3325 1
Ni4 Ni 0.5403 0.9825 0.5809 1
O1 O 0.1087 0.8525 0.2207 1
O2 O 0.1157 0.3518 0.6921 1
O3 O 0.3437 0.3416 0.4142 1
O4 O 0.3458 0.8423 0.4989 1
O5 O 0.3907 0.4132 0.0735 1
O6 O 0.3948 0.2910 0.2502 1
O7 O 0.3947 0.9098 0.8380 1
O8 O 0.3958 0.0719 0.9694 1
O9 O 0.3957 0.5712 0.9424 1
O10 O 0.4006 0.7901 0.6627 1
O11 O 0.4344 0.8467 0.3264 1
O12 O 0.4362 0.3451 0.5861 1
O13 O 0.6084 0.8526 0.1958 1
O14 O 0.6162 0.3519 0.7162 1
O15 O 0.8337 0.3558 0.9972 1
O16 O 0.8340 0.8534 0.9165 1
O17 O 0.8908 0.2907 0.1679 1
O18 O 0.8956 0.3720 0.3386 1
O19 O 0.8994 0.7902 0.7455 1
O20 O 0.9011 0.8729 0.5752 1
O21 O 0.9066 0.0555 0.4459 1
O22 O 0.9068 0.5557 0.4678 1
O23 O 0.9442 0.8513 0.0901 1
O24 O 0.9503 0.3486 0.8224 1
```


# Li2SiNiO4
Computed X-ray powder pattern, Cu Kα (λ = 1.5418 Å). Input: a crystal structure in the Materials Project, relaxed with PBE+U.

Peak list (10 most intense, 10° ≤ 2θ ≤ 90°, in order of falling intensity)
hkl 1 0 2, 2θ 22.1, 4.023 Å, I 100
hkl 0 2 0, 2θ 33.5, 2.678 Å, I 66
hkl 0 1 2, 2θ 21.5, 4.133 Å, I 52
hkl 2 0 0, 2θ 34.3, 2.611 Å, I 50
hkl 1 0 -2, 2θ 22.3, 3.992 Å, I 49
hkl 0 1 -4, 2θ 33.6, 2.670 Å, I 28
hkl 1 -1 0, 2θ 24.3, 3.657 Å, I 28
hkl 0 1 4, 2θ 32.7, 2.740 Å, I 21
hkl 0 3 4, 2θ 58.7, 1.572 Å, I 19
hkl 1 1 -2, 2θ 27.6, 3.227 Å, I 17

Atomic structure:
```
data_Li2SiNiO4
_chemical_formula_sum 'Li8 Si4 Ni4 O16'
_symmetry_space_group_name_H-M 'P 1'
_symmetry_Int_Tables_number 1
_cell_length_a 5.2282
_cell_length_b 5.3673
_cell_length_c 12.5365
_cell_angle_alpha 88.28
_cell_angle_beta 89.36
_cell_angle_gamma 87.36
loop_
_symmetry_equiv_pos_as_xyz
'x,y,z'
loop_
_atom_site_label
_atom_site_type_symbol
_atom_site_fract_x
_atom_site_fract_y
_atom_site_fract_z
_atom_site_occupancy
Li1 Li 0.0000 0.0000 0.0000 1
Li2 Li 0.0008 0.0004 0.4998 1
Li3 Li 0.1186 0.4873 0.1192 1
Li4 Li 0.1235 0.4940 0.6202 1
Li5 Li 0.4978 0.8630 0.3789 1
Li6 Li 0.4992 0.8616 0.8781 1
Li7 Li 0.6210 0.3491 0.7480 1
Li8 Li 0.6224 0.3470 0.2478 1
Si1 Si 0.6295 0.3464 0.9975 1
Si2 Si 0.6353 0.3531 0.4981 1
Si3 Si 0.9869 0.9978 0.2497 1
Si4 Si 0.9921 0.0042 0.7504 1
Ni1 Ni 0.1252 0.5047 0.8684 1
Ni2 Ni 0.1305 0.4987 0.3671 1
Ni3 Ni 0.4944 0.8420 0.1282 1
Ni4 Ni 0.5002 0.8484 0.6280 1
O1 O 0.0218 0.3023 0.2469 1
O2 O 0.0280 0.3079 0.7480 1
O3 O 0.1123 0.8640 0.1428 1
O4 O 0.1139 0.8711 0.3597 1
O5 O 0.1166 0.8767 0.8605 1
O6 O 0.1184 0.8725 0.6432 1
O7 O 0.5012 0.4764 0.1043 1
O8 O 0.5038 0.4789 0.8882 1
O9 O 0.5050 0.4826 0.6046 1
O10 O 0.5081 0.4827 0.3887 1
O11 O 0.5941 0.0410 0.0019 1
O12 O 0.6006 0.0475 0.5017 1
O13 O 0.6724 0.9727 0.2502 1
O14 O 0.6777 0.9774 0.7505 1
O15 O 0.9434 0.3769 0.9953 1
O16 O 0.9491 0.3857 0.4965 1
```